Theoretical powder XRD pattern of Ni2Ag2AsO6 for a wavelength of 1.5418 Å, from a GGA+U-relaxed structure.
No peak broadening, texture or thermal motion is included.

Most intense lines, 2θ = 5–70°, in order of rising 2θ:
index  2θ/deg  d_spacing  intensity
1 1 0  19.9  4.453  45
0 0 2  29.4  3.037  60
2 0 0  35.0  2.564  49
1 3 -1  37.4  2.402  100
1 3 1  38.2  2.356  46
2 0 -2  45.1  2.012  18
2 0 2  47.6  1.910  28
1 3 -3  57.0  1.615  29
1 3 3  58.7  1.574  25
3 3 -1  63.9  1.457  20

Structure:
```
data_Ni2Ag2AsO6
_chemical_formula_sum 'Ni4 Ag4 As2 O12'
_cell_length_a 5.134
_cell_length_b 8.982
_cell_length_c 6.083
_cell_angle_alpha 90.00
_cell_angle_beta 93.03
_cell_angle_gamma 90.00
_symmetry_space_group_name_H-M 'C 1 2/m 1'
_symmetry_Int_Tables_number 12
_symmetry_space_group_name_Hall '-C 2y'
loop_
_atom_site_label
_atom_site_fract_x
_atom_site_fract_y
_atom_site_fract_z
Ni1 0.000 0.164 0.000
Ag1 0.000 0.341 0.500
As1 0.000 0.500 0.000
O1 0.142 0.345 0.831
O2 0.191 0.000 0.835
```